The following is a computed XRD peak list of ZrAs2P. It was derived from a cell relaxed with PBE, using Cu Kα, 1.54184 Å.
Peak positions follow from Bragg's law for the DFT cell and can differ from measured ones.

The 10 most intense peaks (10° ≤ 2θ ≤ 90°), in order of falling intensity:
36.40 deg, intensity 100.0, (1 1 0); 39.93 deg, intensity 82.3, (0 1 2); 33.72 deg, intensity 51.0, (1 0 -2); 44.50 deg, intensity 29.4, (1 0 2); 53.23 deg, intensity 18.7, (0 2 0); 29.92 deg, intensity 15.6, (0 0 2); 64.51 deg, intensity 14.9, (1 2 -2); 36.74 deg, intensity 14.5, (1 1 -1); 71.83 deg, intensity 13.7, (1 2 2); 14.80 deg, intensity 13.7, (0 0 1)

Structural model:
```
data_ZrAs2P
_cell_length_a 3.6734
_cell_length_b 3.4416
_cell_length_c 6.2045
_cell_angle_alpha 90.00
_cell_angle_beta 105.33
_cell_angle_gamma 90.00
_space_group_name_H-M_alt 'P 1 m 1'
_space_group_IT_number 6
loop_
_space_group_symop_operation_xyz
'x,y,z'
'x,-y,z'
loop_
_atom_site_label
_atom_site_type_symbol
_atom_site_fract_x
_atom_site_fract_y
_atom_site_fract_z
_atom_site_occupancy
Zr1 Zr 0.0000 0.0000 0.0000 1
As1 As 0.3929 0.5000 0.7599 1
As2 As 0.9594 0.0000 0.4673 1
P1 P 0.5906 0.5000 0.2009 1
```

---

The following is a computed XRD peak list of Tb8PrHo3. It was derived from a cell relaxed with PBE, using Cu Kα, 1.54184 Å.
Peak positions follow from Bragg's law for the DFT cell and can differ from measured ones.

The 10 most intense peaks (10° ≤ 2θ ≤ 90°), in order of falling intensity:
31.65 deg, intensity 100.0, (1 3 2); 31.91 deg, intensity 67.0, (2 0 2); 31.35 deg, intensity 49.8, (0 0 4); 35.72 deg, intensity 34.4, (2 2 2); 66.11 deg, intensity 24.5, (2 6 4); 51.50 deg, intensity 21.9, (3 3 2); 45.38 deg, intensity 19.0, (2 2 4); 56.57 deg, intensity 18.3, (2 6 0); 56.00 deg, intensity 17.0, (1 3 6); 27.41 deg, intensity 16.6, (1 3 0)

Structural model:
```
data_Tb8PrHo3
_cell_length_a 6.4472
_cell_length_b 11.3082
_cell_length_c 11.4120
_cell_angle_alpha 90.00
_cell_angle_beta 90.00
_cell_angle_gamma 90.00
_space_group_name_H-M_alt 'I m m m'
_space_group_IT_number 71
_space_group_name_Hall '-I 2 2'
loop_
_atom_site_label
_atom_site_type_symbol
_atom_site_fract_x
_atom_site_fract_y
_atom_site_fract_z
_atom_site_occupancy
Tb1 Tb 0.0000 0.1682 0.2491 1
Tb2 Tb 0.2453 0.2586 0.5000 1
Pr1 Pr 0.0000 0.0000 0.5000 1
Ho1 Ho 0.0000 0.0000 0.0000 1
Ho2 Ho 0.0000 0.5000 0.2584 1
```